Record 1
Bi14PdBr16: calculated PXRD pattern (CuKα), based on a cell relaxed with GGA-PBE.
Lines closer than 0.1° are merged.

Largest 10 diffraction maxima, in order of rising 2θ, 15° ≤ 2θ ≤ 90°:
2theta	d (Å)	intensity
15.09	5.871	100
16.20	5.470	57
18.88	4.700	60
25.31	3.520	50
27.71	3.219	49
29.06	3.072	85
32.04	2.794	63
32.87	2.724	53
37.46	2.401	54
40.04	2.252	49

a b c (Å): 11.3004 11.3319 11.6465
angles (deg): 75.83 62.34 67.62
Atoms (fractional coordinates):
Bi (0.0137, 0.1718, 0.2554)
Bi (0.0424, 0.2535, 0.4834)
Bi (0.1440, 0.8743, 0.2479)
Bi (0.1848, 0.9995, 0.6243)
Bi (0.2851, 0.0308, 0.3165)
Bi (0.3543, 0.3867, 0.6138)
Bi (0.4057, 0.6604, 0.8876)
Bi (0.5943, 0.3396, 0.1124)
Bi (0.6457, 0.6133, 0.3862)
Bi (0.7149, 0.9692, 0.6835)
Bi (0.8152, 0.0005, 0.3757)
Bi (0.8560, 0.1257, 0.7521)
Bi (0.9576, 0.7465, 0.5166)
Bi (0.9863, 0.8282, 0.7446)
Pd (0.0000, 0.0000, 0.5000)
Br (0.0737, 0.4460, 0.6426)
Br (0.1459, 0.8485, 0.9496)
Br (0.2385, 0.5292, 0.8293)
Br (0.3104, 0.5432, 0.1483)
Br (0.3643, 0.6279, 0.4313)
Br (0.3681, 0.1497, 0.7552)
Br (0.4826, 0.2264, 0.3827)
Br (0.4916, 0.8104, 0.9659)
Br (0.5084, 0.1896, 0.0341)
Br (0.5174, 0.7736, 0.6173)
Br (0.6319, 0.8503, 0.2448)
Br (0.6357, 0.3721, 0.5687)
Br (0.6896, 0.4568, 0.8517)
Br (0.7615, 0.4708, 0.1707)
Br (0.8541, 0.1515, 0.0504)
Br (0.9263, 0.5540, 0.3574)

***

Record 2
ReBiPdBr2: calculated PXRD pattern (CuKα), based on a cell relaxed with GGA-PBE.
Lines closer than 0.1° are merged.

Largest 10 diffraction maxima, in order of rising 2θ, 15° ≤ 2θ ≤ 90°:
2theta	d (Å)	intensity
25.47	3.497	41
29.85	2.994	100
30.88	2.895	51
36.33	2.473	66
40.45	2.230	25
48.41	1.880	58
52.32	1.749	23
54.28	1.690	19
61.41	1.510	26
62.00	1.497	28

a b c (Å): 4.9455 4.9455 5.7907
angles (deg): 90.00 90.00 90.00
Atoms (fractional coordinates):
Re (0.0000, 0.0000, 0.0000)
Bi (0.5000, 0.5000, 0.0000)
Pd (0.5000, 0.5000, 0.5000)
Br (0.0000, 0.5000, 0.5000)
Br (0.5000, 0.0000, 0.5000)

***

Record 3
PrBiBr: calculated PXRD pattern (CuKα), based on a cell relaxed with GGA-PBE.
Lines closer than 0.1° are merged.

Largest 10 diffraction maxima, in order of rising 2θ, 15° ≤ 2θ ≤ 90°:
2theta	d (Å)	intensity
16.32	5.433	35
26.09	3.415	45
26.52	3.361	50
28.29	3.154	39
29.96	2.983	100
32.83	2.728	77
34.10	2.629	42
34.43	2.605	57
38.02	2.367	42
39.28	2.294	37

a b c (Å): 10.4436 10.4436 10.4436
angles (deg): 117.31 75.82 141.82
Atoms (fractional coordinates):
Pr (0.1777, 0.0212, 0.1988)
Pr (0.1777, 0.4788, 0.6565)
Pr (0.4548, 0.2298, 0.7250)
Pr (0.5048, 0.7298, 0.2750)
Pr (0.8223, 0.5212, 0.3435)
Pr (0.8223, 0.9788, 0.8012)
Bi (0.2198, 0.2198, 0.0000)
Bi (0.2198, 0.7198, 0.5000)
Bi (0.3899, 0.6002, 0.9377)
Bi (0.3899, 0.9523, 0.2898)
Bi (0.6625, 0.1002, 0.7102)
Bi (0.6625, 0.4523, 0.0623)
Br (0.0964, 0.0504, 0.5460)
Br (0.1501, 0.7454, 0.9047)
Br (0.5043, 0.5504, 0.4540)
Br (0.8040, 0.6325, 0.6714)
Br (0.8407, 0.2454, 0.0953)
Br (0.9611, 0.1325, 0.3286)

***

Record 4
BiPtBr6: calculated PXRD pattern (CuKα), based on a cell relaxed with GGA-PBE.
Lines closer than 0.1° are merged.

Largest 10 diffraction maxima, in order of rising 2θ, 15° ≤ 2θ ≤ 90°:
2theta	d (Å)	intensity
15.01	5.901	93
20.97	4.237	25
32.50	2.755	23
33.08	2.708	59
34.38	2.609	100
37.15	2.420	26
42.65	2.120	38
43.22	2.093	43
46.15	1.967	22
51.67	1.769	30

a b c (Å): 7.2817 7.2817 7.0133
angles (deg): 106.84 106.84 108.27
Atoms (fractional coordinates):
Bi (0.0000, 0.0000, 0.0000)
Pt (0.0000, 0.0000, 0.5000)
Br (0.0108, 0.6996, 0.1933)
Br (0.2795, 0.2795, 0.4581)
Br (0.3004, 0.9892, 0.8067)
Br (0.6996, 0.0108, 0.1933)
Br (0.7205, 0.7205, 0.5419)
Br (0.9892, 0.3004, 0.8067)

***

Record 5
PuBiBr5: calculated PXRD pattern (CuKα), based on a cell relaxed with GGA-PBE.
Lines closer than 0.1° are merged.

Largest 10 diffraction maxima, in order of rising 2θ, 15° ≤ 2θ ≤ 90°:
2theta	d (Å)	intensity
19.59	4.531	44
24.36	3.654	82
29.24	3.054	100
30.89	2.895	47
33.29	2.691	33
36.84	2.440	53
37.78	2.381	52
38.20	2.356	43
39.98	2.255	50
44.34	2.043	30

a b c (Å): 8.2064 4.0860 16.4797
angles (deg): 90.00 90.92 90.00
Atoms (fractional coordinates):
Pu (0.1262, 0.2500, 0.1182)
Pu (0.8738, 0.7500, 0.8818)
Bi (0.3614, 0.7500, 0.3856)
Bi (0.6386, 0.2500, 0.6144)
Br (0.0746, 0.7500, 0.2550)
Br (0.1266, 0.2500, 0.9314)
Br (0.2973, 0.2500, 0.5096)
Br (0.3666, 0.7500, 0.0856)
Br (0.4765, 0.2500, 0.2771)
Br (0.5235, 0.7500, 0.7229)
Br (0.6334, 0.2500, 0.9144)
Br (0.7027, 0.7500, 0.4904)
Br (0.8734, 0.7500, 0.0686)
Br (0.9254, 0.2500, 0.7450)

***

Record 6
Rb3BiBr6: calculated PXRD pattern (CuKα), based on a cell relaxed with GGA-PBE.
Lines closer than 0.1° are merged.

Largest 10 diffraction maxima, in order of rising 2θ, 15° ≤ 2θ ≤ 90°:
2theta	d (Å)	intensity
21.08	4.215	75
21.32	4.168	72
25.07	3.552	62
25.35	3.514	62
29.88	2.990	92
30.43	2.938	50
33.46	2.678	100
36.84	2.440	49
37.56	2.394	70
37.99	2.369	74

a b c (Å): 8.1850 8.7613 14.2170
angles (deg): 90.00 124.25 90.00
Atoms (fractional coordinates):
Rb (0.0000, 0.0000, 0.0000)
Rb (0.0000, 0.5000, 0.5000)
Rb (0.2159, 0.0768, 0.7451)
Rb (0.2159, 0.4232, 0.2451)
Rb (0.7841, 0.5768, 0.7549)
Rb (0.7841, 0.9232, 0.2549)
Bi (0.5000, 0.0000, 0.5000)
Bi (0.5000, 0.5000, 0.0000)
Br (0.1591, 0.1765, 0.4443)
Br (0.1591, 0.3235, 0.9443)
Br (0.2601, 0.7254, 0.4254)
Br (0.2601, 0.7746, 0.9254)
Br (0.4010, 0.0547, 0.2731)
Br (0.4010, 0.4453, 0.7731)
Br (0.5990, 0.5547, 0.2269)
Br (0.5990, 0.9453, 0.7269)
Br (0.7399, 0.2254, 0.0746)
Br (0.7399, 0.2746, 0.5746)
Br (0.8409, 0.6765, 0.0557)
Br (0.8409, 0.8235, 0.5557)

***

Record 7
Rb2BiTeBr6: calculated PXRD pattern (CuKα), based on a cell relaxed with GGA-PBE.
Lines closer than 0.1° are merged.

Largest 10 diffraction maxima, in order of rising 2θ, 15° ≤ 2θ ≤ 90°:
2theta	d (Å)	intensity
15.32	5.782	25
21.00	4.230	28
21.37	4.157	53
26.10	3.414	33
29.88	2.991	100
30.93	2.891	46
37.03	2.428	26
42.76	2.115	37
43.54	2.079	70
53.70	1.707	37

a b c (Å): 8.3195 8.3195 8.3195
angles (deg): 118.89 118.89 91.94
Atoms (fractional coordinates):
Rb (0.2500, 0.7500, 0.5000)
Rb (0.7500, 0.2500, 0.5000)
Bi (0.0000, 0.0000, 0.0000)
Te (0.5000, 0.5000, 0.0000)
Br (0.2420, 0.2420, 0.4839)
Br (0.2420, 0.7580, 0.0000)
Br (0.2510, 0.2510, 0.0000)
Br (0.7490, 0.7490, 0.0000)
Br (0.7580, 0.2420, 0.0000)
Br (0.7580, 0.7580, 0.5161)

***

Record 8
RbZn2BiBr8: calculated PXRD pattern (CuKα), based on a cell relaxed with GGA-PBE.
Lines closer than 0.1° are merged.

Largest 10 diffraction maxima, in order of rising 2θ, 15° ≤ 2θ ≤ 90°:
2theta	d (Å)	intensity
15.10	5.868	26
18.67	4.752	76
20.53	4.326	28
25.83	3.449	32
27.22	3.276	93
31.07	2.879	100
32.07	2.791	27
43.45	2.083	75
45.56	1.991	64
56.16	1.638	26

a b c (Å): 11.1865 11.1865 11.1865
angles (deg): 35.91 35.91 35.91
Atoms (fractional coordinates):
Rb (0.0000, 0.0000, 0.0000)
Zn (0.2477, 0.2477, 0.2477)
Zn (0.7523, 0.7523, 0.7523)
Bi (0.5000, 0.5000, 0.5000)
Br (0.1109, 0.7908, 0.4346)
Br (0.2092, 0.5654, 0.8891)
Br (0.3228, 0.3228, 0.3228)
Br (0.4346, 0.1109, 0.7908)
Br (0.5654, 0.8891, 0.2092)
Br (0.6772, 0.6772, 0.6772)
Br (0.7908, 0.4346, 0.1109)
Br (0.8891, 0.2092, 0.5654)

***

Record 9
BiS5Br: calculated PXRD pattern (CuKα), based on a cell relaxed with GGA-PBE.
Lines closer than 0.1° are merged.

Largest 10 diffraction maxima, in order of rising 2θ, 15° ≤ 2θ ≤ 90°:
2theta	d (Å)	intensity
20.54	4.325	30
21.79	4.079	48
24.27	3.667	100
28.56	3.126	22
29.44	3.034	22
29.60	3.018	48
33.13	2.704	36
36.02	2.494	25
42.60	2.122	31
43.94	2.061	26

a b c (Å): 12.0974 12.0974 4.6724
angles (deg): 91.14 91.14 160.16
Atoms (fractional coordinates):
Bi (0.0000, 0.0000, 0.0000)
S (0.4112, 0.5413, 0.2826)
S (0.4587, 0.5888, 0.7174)
S (0.5702, 0.1004, 0.3149)
S (0.7876, 0.2124, 0.0000)
S (0.8996, 0.4298, 0.6851)
Br (0.0755, 0.9245, 0.5000)